Starting from a cell relaxed with GGA-PBE, the PXRD pattern of Ac2BSbPd6 was computed for Cu Kα, 1.54184 Å.
Neutral-atom scattering factors, no anomalous dispersion.

Crystal structure
```
data_Ac2BSbPd6
_space_group_name_H-M_alt 'C 1 2/m 1'
_space_group_IT_number 12
_space_group_name_Hall '-C 2y'
_cell_length_a 10.3880
_cell_length_b 5.9951
_cell_length_c 7.4682
_cell_angle_alpha 90.00
_cell_angle_beta 117.63
_cell_angle_gamma 90.00
loop_
_atom_site_label
_atom_site_fract_x
_atom_site_fract_y
_atom_site_fract_z
Ac1 0.2327 0.0000 0.1970
B1 0.0000 0.0000 0.5000
Sb1 0.0000 0.5000 0.0000
Pd1 0.0257 0.2528 0.3226
Pd2 0.2278 0.0000 0.6783
```

Largest 12 diffraction maxima, by angle, 2θ from 15° to 90°:
index  d_spacing  two_theta  intensity
1 1 1  3.588  24.8  338
0 0 2  3.308  27.0  303
0 2 0  2.998  29.8  228
0 2 1  2.731  32.8  356
4 0 -2  2.512  35.7  970
2 0 -3  2.489  36.1  409
2 2 -2  2.301  39.2  1000
0 2 3  1.777  51.4  181
1 1 -4  1.704  53.8  197
5 1 -4  1.614  57.1  231
0 4 0  1.499  61.9  342
4 2 -5  1.328  71.0  174



Starting from a cell relaxed with GGA-PBE, the PXRD pattern of Co14IrRh was computed for Cu Kα, 1.54184 Å.
Neutral-atom scattering factors, no anomalous dispersion.

Crystal structure
```
data_Co14IrRh
_space_group_name_H-M_alt 'P 4/m m m'
_space_group_IT_number 123
_space_group_name_Hall '-P 4 2'
_cell_length_a 5.0754
_cell_length_b 5.0754
_cell_length_c 7.1359
_cell_angle_alpha 90.00
_cell_angle_beta 90.00
_cell_angle_gamma 90.00
loop_
_atom_site_label
_atom_site_fract_x
_atom_site_fract_y
_atom_site_fract_z
Co1 0.0000 0.0000 0.0000
Co2 0.0000 0.5000 0.0000
Co3 0.0000 0.5000 0.5000
Co4 0.2498 0.2498 0.2398
Co5 0.5000 0.5000 0.0000
Ir1 0.0000 0.0000 0.5000
Rh1 0.5000 0.5000 0.5000
```

Largest 12 diffraction maxima, by angle, 2θ from 15° to 90°:
index  d_spacing  two_theta  intensity
1 0 0  5.075  17.5  25
1 0 1  4.136  21.5  31
1 1 0  3.589  24.8  49
0 0 2  3.568  25.0  25
1 1 1  3.206  27.8  73
1 1 2  2.530  35.5  39
2 0 1  2.391  37.6  47
2 0 2  2.068  43.8  1000
2 2 0  1.794  50.9  316
0 0 4  1.784  51.2  151
4 0 0  1.269  74.8  93
2 2 4  1.265  75.1  179



Starting from a cell relaxed with GGA-PBE, the PXRD pattern of Tb8Dy3Th2 was computed for Cu Kα, 1.54184 Å.
Neutral-atom scattering factors, no anomalous dispersion.

Crystal structure
```
data_Tb8Dy3Th2
_space_group_name_H-M_alt 'P -1'
_space_group_IT_number 2
_space_group_name_Hall '-P 1'
_cell_length_a 6.1483
_cell_length_b 7.6721
_cell_length_c 18.6258
_cell_angle_alpha 85.97
_cell_angle_beta 81.01
_cell_angle_gamma 77.47
loop_
_atom_site_label
_atom_site_fract_x
_atom_site_fract_y
_atom_site_fract_z
Tb1 0.0003 0.0189 0.3221
Tb2 0.1120 0.5555 0.0762
Tb3 0.1135 0.5324 0.7392
Tb4 0.2318 0.0951 0.8154
Tb5 0.3346 0.6598 0.8874
Tb6 0.3679 0.6472 0.5612
Tb7 0.4466 0.2171 0.9631
Tb8 0.4488 0.1796 0.6138
Dy1 0.0000 0.0000 0.0000
Dy2 0.0000 0.0000 0.5000
Dy3 0.3326 0.6843 0.2262
Dy4 0.4305 0.2428 0.2906
Th1 0.0900 0.5680 0.4144
Th2 0.2203 0.1197 0.1467
```

Largest 12 diffraction maxima, by angle, 2θ from 15° to 90°:
index  d_spacing  two_theta  intensity
1 -2 0  2.902  30.8  1000
0 1 6  2.871  31.1  984
1 -1 6  2.586  34.7  390
2 0 -3  2.532  35.5  330
1 3 3  2.394  37.6  256
3 -1 3  1.809  50.4  226
-1 3 6  1.742  52.5  192
3 3 0  1.738  52.7  118
2 -3 6  1.552  59.6  146
1 0 12  1.538  60.2  133
3 2 -6  1.524  60.8  136
2 4 -6  1.451  64.2  130



Starting from a cell relaxed with GGA-PBE, the PXRD pattern of CePu3Tl4Se8 was computed for Cu Kα, 1.54184 Å.
Neutral-atom scattering factors, no anomalous dispersion.

Crystal structure
```
data_CePu3Tl4Se8
_space_group_name_H-M_alt 'R -3 m'
_space_group_IT_number 166
_space_group_name_Hall '-R 3 2"'
_cell_length_a 8.5435
_cell_length_b 8.5435
_cell_length_c 23.1350
_cell_angle_alpha 90.00
_cell_angle_beta 90.00
_cell_angle_gamma 120.00
loop_
_atom_site_label
_atom_site_fract_x
_atom_site_fract_y
_atom_site_fract_z
Ce1 0.0000 0.0000 0.0000
Pu1 0.0000 0.5000 0.0000
Tl1 0.0000 0.0000 0.5000
Tl2 0.0000 0.5000 0.5000
Se1 0.0000 0.0000 0.2663
Se2 0.0012 0.5006 0.2650
```

Largest 12 diffraction maxima, by angle, 2θ from 15° to 90°:
index  d_spacing  two_theta  intensity
0 0 6  3.856  23.1  135
2 0 2  3.524  25.3  273
0 2 4  3.116  28.6  1000
2 0 8  2.278  39.6  375
2 2 0  2.136  42.3  368
2 2 6  1.868  48.7  119
4 0 4  1.762  51.9  195
0 4 8  1.558  59.3  116
2 2 12  1.431  65.2  144
2 4 4  1.359  69.1  167
4 2 8  1.259  75.5  115
6 0 0  1.233  77.4  92



Starting from a cell relaxed with GGA-PBE, the PXRD pattern of LuThAg was computed for Cu Kα, 1.54184 Å.
Neutral-atom scattering factors, no anomalous dispersion.

Crystal structure
```
data_LuThAg
_space_group_name_H-M_alt 'I 4 m m'
_space_group_IT_number 107
_space_group_name_Hall 'I 4 -2'
_cell_length_a 3.5541
_cell_length_b 3.5541
_cell_length_c 12.7482
_cell_angle_alpha 90.00
_cell_angle_beta 90.00
_cell_angle_gamma 90.00
loop_
_atom_site_label
_atom_site_fract_x
_atom_site_fract_y
_atom_site_fract_z
Lu1 0.0000 0.0000 0.0000
Th1 0.0000 0.0000 0.6907
Ag1 0.0000 0.0000 0.3645
```

Largest 12 diffraction maxima, by angle, 2θ from 15° to 90°:
index  d_spacing  two_theta  intensity
1 0 1  3.424  26.0  111
0 0 4  3.187  28.0  67
1 0 3  2.726  32.9  1000
1 1 0  2.513  35.7  424
0 0 6  2.125  42.5  103
1 1 4  1.973  46.0  73
2 0 0  1.777  51.4  151
1 1 6  1.622  56.8  252
2 1 3  1.489  62.4  318
2 0 6  1.363  68.9  99
3 0 3  1.141  85.0  69
3 1 0  1.124  86.6  70



Starting from a cell relaxed with GGA-PBE, the PXRD pattern of TmGa3Rh3 was computed for Cu Kα, 1.54184 Å.
Neutral-atom scattering factors, no anomalous dispersion.

Crystal structure
```
data_TmGa3Rh3
_space_group_name_H-M_alt 'P m -3 n'
_space_group_IT_number 223
_space_group_name_Hall '-P 4n 2 3'
_cell_length_a 6.6742
_cell_length_b 6.6742
_cell_length_c 6.6742
_cell_angle_alpha 90.00
_cell_angle_beta 90.00
_cell_angle_gamma 90.00
loop_
_atom_site_label
_atom_site_fract_x
_atom_site_fract_y
_atom_site_fract_z
Tm1 0.0000 0.0000 0.0000
Ga1 0.0000 0.2500 0.5000
Rh1 0.0000 0.5000 0.2500
```

Largest 12 diffraction maxima, by angle, 2θ from 15° to 90°:
index  d_spacing  two_theta  intensity
2 0 0  3.337  26.7  429
2 1 0  2.985  29.9  45
2 1 1  2.725  32.9  1000
2 2 2  1.927  47.2  135
3 2 0  1.851  49.2  11
3 2 1  1.784  51.2  568
4 0 0  1.669  55.0  234
4 2 0  1.492  62.2  157
3 3 2  1.423  65.6  133
5 2 1  1.219  78.5  159
4 4 0  1.180  81.6  146
6 0 0  1.112  87.7  77



Starting from a cell relaxed with GGA-PBE, the PXRD pattern of Ac6TlSn6 was computed for Cu Kα, 1.54184 Å.
Neutral-atom scattering factors, no anomalous dispersion.

Crystal structure
```
data_Ac6TlSn6
_space_group_name_H-M_alt 'P 6/m m m'
_space_group_IT_number 191
_space_group_name_Hall '-P 6 2'
_cell_length_a 6.8724
_cell_length_b 6.8724
_cell_length_c 11.2942
_cell_angle_alpha 90.00
_cell_angle_beta 90.00
_cell_angle_gamma 120.00
loop_
_atom_site_label
_atom_site_fract_x
_atom_site_fract_y
_atom_site_fract_z
Ac1 0.0000 0.0000 0.1995
Ac2 0.3333 0.6667 0.0000
Ac3 0.3333 0.6667 0.5000
Tl1 0.0000 0.0000 0.5000
Sn1 0.0000 0.5000 0.2503
```

Largest 12 diffraction maxima, by angle, 2θ from 15° to 90°:
index  d_spacing  two_theta  intensity
1 0 2  4.097  21.7  215
1 1 0  3.436  25.9  925
1 0 3  3.182  28.0  292
2 0 0  2.976  30.0  340
1 1 2  2.935  30.5  712
0 0 4  2.824  31.7  431
2 0 2  2.633  34.1  1000
1 1 4  2.182  41.4  315
3 0 0  1.984  45.7  208
2 2 0  1.718  53.3  414
1 1 6  1.651  55.7  310
2 2 4  1.468  63.4  372



Starting from a cell relaxed with GGA-PBE, the PXRD pattern of P2HIrAu was computed for Cu Kα, 1.54184 Å.
Neutral-atom scattering factors, no anomalous dispersion.

Crystal structure
```
data_P2HIrAu
_space_group_name_H-M_alt 'P 1'
_space_group_IT_number 1
_space_group_name_Hall 'P 1'
_cell_length_a 3.8417
_cell_length_b 4.8069
_cell_length_c 5.5712
_cell_angle_alpha 114.73
_cell_angle_beta 107.43
_cell_angle_gamma 90.05
loop_
_atom_site_label
_atom_site_fract_x
_atom_site_fract_y
_atom_site_fract_z
P1 0.0000 0.0000 0.0000
P2 0.0404 0.4859 0.1005
H1 0.7218 0.0590 0.3603
Ir1 0.5301 0.7599 0.0720
Au1 0.5091 0.7289 0.5575
```

Largest 12 diffraction maxima, by angle, 2θ from 15° to 90°:
index  d_spacing  two_theta  intensity
0 1 0  4.320  20.6  1000
1 0 0  3.626  24.5  468
1 -1 0  3.001  29.8  453
0 1 -2  2.637  34.0  242
1 1 0  2.597  34.5  269
1 1 -2  2.483  36.2  296
0 0 2  2.389  37.7  452
1 -2 0  1.987  45.7  172
1 2 -2  1.974  46.0  160
1 -1 2  1.898  47.9  140
2 0 0  1.813  50.3  129
2 0 -2  1.748  52.3  296